Record 1
Computed X-ray diffraction stick pattern of TbY4MgSe8 for Cu Ka, from a crystal structure in Alexandria, relaxed with PBE.

The 10 most intense peaks (2θ from 10° to 80°), by angle:
d (Å)  2θ/deg  I (rel.)
6.824  12.97  32
3.564  24.98  57
2.955  30.24  89
2.275  39.62  32
2.090  43.30  100
1.706  53.72  22
1.539  60.13  13
1.478  62.90  16
1.322  71.37  27
1.206  79.44  31

Atomic structure:
Unit cell a=8.3600 b=8.3600 c=8.3600 alpha=59.98 beta=59.98 gamma=59.98
Fractional positions:
Tb 0.0000 0.0000 0.0000
Y 0.0000 0.0000 0.5132
Y 0.0000 0.5132 0.0000
Y 0.3783 0.3783 0.3783
Y 0.5132 0.0000 0.0000
Mg 0.6283 0.6283 0.6283
Se 0.2429 0.7565 0.7565
Se 0.2449 0.2449 0.2449
Se 0.2453 0.2453 0.7783
Se 0.2453 0.7783 0.2453
Se 0.7565 0.2429 0.7565
Se 0.7565 0.7565 0.2429
Se 0.7568 0.7568 0.7568
Se 0.7783 0.2453 0.2453

---

Record 2
Computed X-ray diffraction stick pattern of Mg3Te2Se for Cu Ka, from a crystal structure in Alexandria, relaxed with PBE.

The 10 most intense peaks (2θ from 10° to 80°), by angle:
d (Å)  2θ/deg  I (rel.)
3.661  24.31  100
3.650  24.38  33
3.168  28.17  38
2.243  40.21  37
2.238  40.30  37
1.912  47.55  37
1.908  47.66  26
1.454  64.04  15
1.295  73.09  12
1.221  78.34  11

Atomic structure:
Unit cell a=7.7722 b=7.7722 c=7.7408 alpha=99.55 beta=99.55 gamma=120.09
Fractional positions:
Mg 0.0729 0.9271 0.5000
Mg 0.2341 0.7542 0.9780
Mg 0.3859 0.5548 0.4781
Mg 0.5548 0.3859 0.9781
Mg 0.7542 0.2341 0.4780
Mg 0.9271 0.0729 0.0000
Te 0.3579 0.8666 0.3618
Te 0.5312 0.6985 0.8620
Te 0.6985 0.5312 0.3620
Te 0.8666 0.3579 0.8618
Se 0.0325 0.1938 0.3603
Se 0.1938 0.0325 0.8603

---

Record 3
Computed X-ray diffraction stick pattern of MgTe2Se for Cu Ka, from a crystal structure in Alexandria, relaxed with PBE.

The 10 most intense peaks (2θ from 10° to 80°), by angle:
d (Å)  2θ/deg  I (rel.)
3.300  27.02  63
3.235  27.57  60
2.779  32.21  50
2.722  32.90  73
2.685  33.37  71
2.511  35.75  100
1.863  48.88  62
1.797  50.81  18
1.493  62.16  23
1.475  63.01  22

Atomic structure:
Unit cell a=3.5106 b=3.5939 c=8.3376 alpha=90.00 beta=90.00 gamma=90.00
Fractional positions:
Mg 0.0000 0.0000 0.0000
Te 0.0000 0.0000 0.4483
Te 0.5000 0.5000 0.7454
Se 0.5000 0.5000 0.0963

---

Record 4
Computed X-ray diffraction stick pattern of MgTeSe for Cu Ka, from a crystal structure in Alexandria, relaxed with PBE.

The 10 most intense peaks (2θ from 10° to 80°), by angle:
d (Å)  2θ/deg  I (rel.)
5.071  17.49  34
3.866  23.00  100
3.103  28.77  91
2.967  30.12  63
2.735  32.74  22
2.712  33.03  59
2.621  34.21  30
2.420  37.16  23
2.204  40.95  22
2.022  44.83  35

Atomic structure:
Unit cell a=4.0636 b=5.2313 c=8.1980 alpha=103.87 beta=94.52 gamma=91.98
Fractional positions:
Mg 0.1970 0.2155 0.4206
Mg 0.8030 0.7845 0.5794
Te 0.2358 0.1014 0.9067
Te 0.7642 0.8986 0.0933
Se 0.2636 0.6912 0.3634
Se 0.7364 0.3088 0.6366

---

Record 5
Computed X-ray diffraction stick pattern of Th6MgSe12 for Cu Ka, from a crystal structure in Alexandria, relaxed with PBE.

The 10 most intense peaks (2θ from 10° to 80°), by angle:
d (Å)  2θ/deg  I (rel.)
6.432  13.77  33
3.960  22.45  100
3.881  22.91  32
3.323  26.83  18
2.986  29.92  23
2.729  32.82  25
2.431  36.98  59
2.394  37.56  55
2.340  38.47  17
2.060  43.95  23

Atomic structure:
Unit cell a=8.3797 b=8.3797 c=8.3797 alpha=100.27 beta=100.27 gamma=100.27
Fractional positions:
Th 0.1290 0.7978 0.6324
Th 0.2022 0.3676 0.8710
Th 0.3676 0.8710 0.2022
Th 0.6324 0.1290 0.7978
Th 0.7978 0.6324 0.1290
Th 0.8710 0.2022 0.3676
Mg 0.5000 0.5000 0.5000
Se 0.0703 0.6765 0.9289
Se 0.0711 0.9297 0.3235
Se 0.1836 0.4370 0.5408
Se 0.3235 0.0711 0.9297
Se 0.4370 0.5408 0.1836
Se 0.4592 0.8164 0.5630
Se 0.5408 0.1836 0.4370
Se 0.5630 0.4592 0.8164
Se 0.6765 0.9289 0.0703
Se 0.8164 0.5630 0.4592
Se 0.9289 0.0703 0.6765
Se 0.9297 0.3235 0.0711

---

Record 6
Computed X-ray diffraction stick pattern of Mg2Tl14Se9 for Cu Ka, from a crystal structure in Alexandria, relaxed with PBE.

The 10 most intense peaks (2θ from 10° to 80°), by angle:
d (Å)  2θ/deg  I (rel.)
3.726  23.88  18
3.573  24.92  100
3.041  29.37  41
2.935  30.46  46
2.795  32.02  20
2.682  33.41  51
2.395  37.56  32
2.356  38.20  34
2.058  44.00  18
1.589  58.06  23

Atomic structure:
Unit cell a=9.2918 b=9.2918 c=11.1795 alpha=90.00 beta=90.00 gamma=120.00
Fractional positions:
Mg 0.3333 0.6667 0.2864
Mg 0.6667 0.3333 0.7136
Tl 0.0000 0.0000 0.2902
Tl 0.0000 0.0000 0.7098
Tl 0.0080 0.6669 0.9013
Tl 0.0940 0.4268 0.6325
Tl 0.3331 0.3411 0.9013
Tl 0.3328 0.9060 0.6325
Tl 0.3411 0.0080 0.0987
Tl 0.4268 0.3328 0.3675
Tl 0.5732 0.6672 0.6325
Tl 0.6589 0.9920 0.9013
Tl 0.6672 0.0940 0.3675
Tl 0.6669 0.6589 0.0987
Tl 0.9060 0.5732 0.3675
Tl 0.9920 0.3331 0.0987
Se 0.0000 0.0000 0.0000
Se 0.1139 0.3760 0.3681
Se 0.2621 0.8861 0.3681
Se 0.3333 0.6667 0.0535
Se 0.3760 0.2621 0.6319
Se 0.6240 0.7379 0.3681
Se 0.6667 0.3333 0.9465
Se 0.7379 0.1139 0.6319
Se 0.8861 0.6240 0.6319